# Ba2Mo2F11
Theoretical XRD peak list, λ = 1.5418 Å (Cu Kα). Input: the GGA+U geometry in Alexandria.
Neutral-atom scattering factors, no anomalous dispersion.

Atomic structure:
```
data_Ba2Mo2F11
_symmetry_space_group_name_H-M 'P 32'
_symmetry_Int_Tables_number 145
_symmetry_space_group_name_Hall 'P 32'
_cell_length_a 8.3619
_cell_length_b 8.3619
_cell_length_c 14.5243
_cell_angle_alpha 90.00
_cell_angle_beta 90.00
_cell_angle_gamma 120.00
loop_
_atom_site_label
_atom_site_type_symbol
_atom_site_fract_x
_atom_site_fract_y
_atom_site_fract_z
Ba1 Ba 0.0234 0.9012 0.0000
Ba2 Ba 0.0281 0.4559 0.1565
Mo1 Mo 0.0671 0.6200 0.7500
Mo2 Mo 0.4042 0.2069 0.2381
F1 F 0.0039 0.2187 0.9779
F2 F 0.0170 0.7411 0.1482
F3 F 0.0215 0.8234 0.8080
F4 F 0.0808 0.7302 0.6119
F5 F 0.0951 0.4257 0.6775
F6 F 0.2674 0.1611 0.1247
F7 F 0.2744 0.6116 0.4538
F8 F 0.3809 0.1053 0.6291
F9 F 0.4998 0.0253 0.2109
F10 F 0.5074 0.2812 0.3721
F11 F 0.5938 0.2322 0.8660
```

Peak list (10 most intense, 2θ from 10° to 90°, sorted by position)
two_theta	I/Imax
13.66	45
17.29	42
22.10	100
24.57	83
25.35	53
27.50	42
33.26	46
37.76	35
45.11	49
45.51	27